# 1
# BiPd6Au5
Theoretical powder XRD pattern, copper Kα. Input: a DFT-relaxed cell (PBE, Alexandria).
No peak broadening, texture or thermal motion is included.

Crystal structure
```
BiPd6Au5
1.0
4.350 -6.368 0.000
4.350 6.368 0.000
-2.113 0.000 3.738
Bi Pd Au
1 6 5
direct
0.000 0.000 0.000
0.081 0.411 0.246
0.246 0.246 0.746
0.411 0.081 0.246
0.589 0.919 0.754
0.754 0.754 0.254
0.919 0.589 0.754
0.177 0.823 0.500
0.336 0.664 0.000
0.500 0.500 0.500
0.664 0.336 0.000
0.823 0.177 0.500
```

The 8 most intense peaks (2θ = 5–70°), in order of falling intensity:
Position (°2θ), I_rel
38.12, 100.0
42.09, 19.2
42.60, 17.8
48.05, 13.1
61.43, 12.1
66.13, 9.7
29.59, 8.2
23.49, 7.2

***

# 2
# BiPd5Au8
Theoretical powder XRD pattern, copper Kα. Input: a DFT-relaxed cell (PBE, Alexandria).
No peak broadening, texture or thermal motion is included.

Crystal structure
```
BiPd5Au8
1.0
-3.982 3.982 4.154
3.982 -3.982 4.154
3.982 3.982 -4.154
Bi Pd Au
1 5 8
direct
0.000 0.000 0.000
0.045 0.459 0.833
0.250 0.750 0.500
0.541 0.374 0.586
0.626 0.212 0.167
0.788 0.955 0.414
0.095 0.325 0.442
0.273 0.173 0.766
0.346 0.905 0.229
0.407 0.507 0.234
0.493 0.727 0.900
0.675 0.117 0.771
0.827 0.593 0.100
0.883 0.654 0.558
```

The 8 most intense peaks (2θ = 5–70°), in order of falling intensity:
Position (°2θ), I_rel
41.30, 100.0
41.95, 89.2
34.28, 88.6
35.50, 86.4
42.34, 82.6
35.65, 74.0
27.24, 54.9
57.52, 24.1

***

# 3
# Bi3Pd6Au
Theoretical powder XRD pattern, copper Kα. Input: a DFT-relaxed cell (PBE, Alexandria).
No peak broadening, texture or thermal motion is included.

Crystal structure
```
Bi3Pd6Au
1.0
5.358 -7.022 0.000
5.358 7.022 0.000
0.000 0.000 5.258
Bi Pd Au
6 12 2
direct
0.127 0.873 0.500
0.204 0.415 0.200
0.415 0.204 0.700
0.585 0.796 0.200
0.796 0.585 0.700
0.873 0.127 0.000
0.051 0.459 0.749
0.088 0.179 0.555
0.179 0.088 0.055
0.234 0.766 0.033
0.459 0.051 0.249
0.477 0.523 0.900
0.523 0.477 0.400
0.541 0.949 0.749
0.766 0.234 0.533
0.821 0.912 0.555
0.912 0.821 0.055
0.949 0.541 0.249
0.331 0.669 0.567
0.669 0.331 0.067
```

The 8 most intense peaks (2θ = 5–70°), in order of falling intensity:
Position (°2θ), I_rel
35.93, 100.0
38.13, 76.4
37.25, 65.5
30.93, 52.1
42.27, 45.8
40.28, 39.9
40.87, 31.8
45.97, 30.8

***

# 4
# Bi4Pd9Au2
Theoretical powder XRD pattern, copper Kα. Input: a DFT-relaxed cell (PBE, Alexandria).
No peak broadening, texture or thermal motion is included.

Crystal structure
```
Bi4Pd9Au2
1.0
4.690 0.000 0.000
-2.345 4.062 0.000
0.000 0.000 14.805
Bi Pd Au
4 9 2
direct
0.333 0.667 0.144
0.333 0.667 0.383
0.667 0.333 0.617
0.667 0.333 0.856
0.000 0.000 0.098
0.000 0.000 0.302
0.000 0.000 0.500
0.000 0.000 0.698
0.000 0.000 0.902
0.333 0.667 0.573
0.333 0.667 0.962
0.667 0.333 0.038
0.667 0.333 0.427
0.333 0.667 0.766
0.667 0.333 0.234
```

The 8 most intense peaks (2θ = 5–70°), in order of falling intensity:
Position (°2θ), I_rel
38.39, 100.0
37.59, 92.2
68.90, 31.4
54.81, 31.1
28.46, 19.2
69.42, 17.7
67.31, 10.1
21.88, 6.5

***

# 5
# Sr3BiPd9Au2
Theoretical powder XRD pattern, copper Kα. Input: a DFT-relaxed cell (PBE, Alexandria).
No peak broadening, texture or thermal motion is included.

Crystal structure
```
Sr3BiPd9Au2
1.0
5.685 0.000 0.000
-2.843 4.923 0.000
0.000 0.000 13.038
Sr Bi Pd Au
3 1 9 2
direct
0.000 0.000 0.000
0.333 0.667 0.774
0.667 0.333 0.226
0.000 0.000 0.500
0.000 0.500 0.000
0.171 0.341 0.340
0.171 0.829 0.340
0.341 0.171 0.660
0.500 0.000 0.000
0.500 0.500 0.000
0.659 0.829 0.340
0.829 0.171 0.660
0.829 0.659 0.660
0.333 0.667 0.168
0.667 0.333 0.832
```

The 8 most intense peaks (2θ = 5–70°), in order of falling intensity:
Position (°2θ), I_rel
39.11, 100.0
19.27, 73.4
37.82, 46.0
46.21, 35.5
22.63, 23.3
69.14, 18.9
65.70, 18.2
41.56, 16.6

***

# 6
# ThBiPdAu
Theoretical powder XRD pattern, copper Kα. Input: a DFT-relaxed cell (PBE, Alexandria).
No peak broadening, texture or thermal motion is included.

Crystal structure
```
ThBiPdAu
1.0
7.224 0.000 0.000
0.000 7.224 0.000
0.000 0.000 7.224
Th Bi Pd Au
4 4 4 4
direct
0.000 0.000 0.000
0.000 0.500 0.500
0.500 0.000 0.500
0.500 0.500 0.000
0.000 0.000 0.500
0.000 0.500 0.000
0.500 0.000 0.000
0.500 0.500 0.500
0.250 0.250 0.250
0.250 0.750 0.750
0.750 0.250 0.750
0.750 0.750 0.250
0.250 0.250 0.750
0.250 0.750 0.250
0.750 0.250 0.250
0.750 0.750 0.750
```

The 8 most intense peaks (2θ = 5–70°), in order of falling intensity:
Position (°2θ), I_rel
35.14, 100.0
63.04, 37.7
50.54, 18.1
21.30, 3.3
24.65, 3.3
41.46, 2.0
57.01, 1.6
43.39, 1.1

***

# 7
# TmBi2Pd7Au2
Theoretical powder XRD pattern, copper Kα. Input: a DFT-relaxed cell (PBE, Alexandria).
No peak broadening, texture or thermal motion is included.

Crystal structure
```
TmBi2Pd7Au2
1.0
2.766 -2.765 0.000
2.766 2.765 0.000
-2.699 0.000 15.211
Tm Bi Pd Au
1 2 7 2
direct
0.000 0.000 0.000
0.180 0.180 0.367
0.820 0.820 0.633
0.068 0.568 0.140
0.273 0.273 0.545
0.432 0.932 0.860
0.500 0.500 0.000
0.568 0.068 0.140
0.727 0.727 0.455
0.932 0.432 0.860
0.368 0.368 0.729
0.632 0.632 0.271
```

The 8 most intense peaks (2θ = 5–70°), in order of falling intensity:
Position (°2θ), I_rel
46.43, 100.0
37.00, 93.8
32.37, 67.8
39.86, 60.5
39.98, 59.9
27.10, 56.4
32.92, 50.1
40.29, 37.8

***

# 8
# Pm7Bi2Au2
Theoretical powder XRD pattern, copper Kα. Input: a DFT-relaxed cell (PBE, Alexandria).
No peak broadening, texture or thermal motion is included.

Crystal structure
```
Pm7Bi2Au2
1.0
4.632 -5.672 0.000
4.632 5.672 0.000
0.000 0.000 7.022
Pm Bi Au
7 2 2
direct
0.000 0.000 0.000
0.000 0.500 0.256
0.000 0.500 0.744
0.500 0.000 0.256
0.500 0.000 0.744
0.500 0.500 0.241
0.500 0.500 0.759
0.190 0.190 0.500
0.810 0.810 0.500
0.274 0.726 0.000
0.726 0.274 0.000
```

The 8 most intense peaks (2θ = 5–70°), in order of falling intensity:
Position (°2θ), I_rel
35.78, 100.0
23.00, 59.6
31.55, 54.8
20.12, 37.6
36.23, 28.7
28.30, 26.3
39.40, 25.5
29.97, 22.7

***

# 9
# PmBi2Au
Theoretical powder XRD pattern, copper Kα. Input: a DFT-relaxed cell (PBE, Alexandria).
No peak broadening, texture or thermal motion is included.

Crystal structure
```
PmBi2Au
1.0
4.713 0.000 0.000
0.000 4.713 0.000
0.000 0.000 9.836
Pm Bi Au
2 4 2
direct
0.250 0.250 0.230
0.750 0.750 0.770
0.250 0.250 0.805
0.250 0.750 0.500
0.750 0.250 0.500
0.750 0.750 0.195
0.250 0.750 0.000
0.750 0.250 0.000
```

The 8 most intense peaks (2θ = 5–70°), in order of falling intensity:
Position (°2θ), I_rel
32.45, 100.0
38.19, 37.4
65.44, 27.5
53.89, 16.1
55.12, 13.1
36.54, 12.1
67.96, 8.1
38.52, 6.3

***

# 10
# PrBi2Au9
Theoretical powder XRD pattern, copper Kα. Input: a DFT-relaxed cell (PBE, Alexandria).
No peak broadening, texture or thermal motion is included.

Crystal structure
```
PrBi2Au9
1.0
2.824 1.630 9.473
-2.824 1.630 9.473
0.000 -3.261 9.473
Pr Bi Au
1 2 9
direct
0.000 0.000 0.000
0.147 0.147 0.147
0.853 0.853 0.853
0.081 0.584 0.584
0.333 0.333 0.333
0.416 0.416 0.919
0.416 0.919 0.416
0.500 0.500 0.500
0.584 0.081 0.584
0.584 0.584 0.081
0.667 0.667 0.667
0.919 0.416 0.416
```

The 8 most intense peaks (2θ = 5–70°), in order of falling intensity:
Position (°2θ), I_rel
37.06, 100.0
40.14, 34.4
37.99, 28.8
36.89, 26.1
66.19, 25.7
60.01, 25.1
31.69, 20.9
39.45, 16.9

***

# 11
# Pr5BiAu2
Theoretical powder XRD pattern, copper Kα. Input: a DFT-relaxed cell (PBE, Alexandria).
No peak broadening, texture or thermal motion is included.

Crystal structure
```
Pr5BiAu2
1.0
-4.248 4.248 6.810
4.248 -4.248 6.810
4.248 4.248 -6.810
Pr Bi Au
10 2 4
direct
0.000 0.000 0.000
0.011 0.511 0.808
0.204 0.011 0.500
0.296 0.796 0.808
0.489 0.296 0.500
0.500 0.500 0.000
0.511 0.704 0.500
0.704 0.204 0.192
0.796 0.989 0.500
0.989 0.489 0.192
0.250 0.250 0.000
0.750 0.750 0.000
0.137 0.363 0.500
0.363 0.863 0.226
0.637 0.137 0.774
0.863 0.637 0.500
```

The 8 most intense peaks (2θ = 5–70°), in order of falling intensity:
Position (°2θ), I_rel
30.69, 100.0
33.35, 65.6
62.31, 19.6
33.74, 18.2
40.76, 15.7
64.84, 14.9
61.78, 14.6
30.17, 13.2

***

# 12
# Pr4BiAu
Theoretical powder XRD pattern, copper Kα. Input: a DFT-relaxed cell (PBE, Alexandria).
No peak broadening, texture or thermal motion is included.

Crystal structure
```
Pr4BiAu
1.0
4.525 -7.210 0.000
4.525 7.210 0.000
-2.342 0.000 5.811
Pr Bi Au
8 2 2
direct
0.082 0.705 0.936
0.209 0.378 0.647
0.295 0.918 0.564
0.378 0.209 0.147
0.622 0.791 0.853
0.705 0.082 0.436
0.791 0.622 0.353
0.918 0.295 0.064
0.384 0.616 0.250
0.616 0.384 0.750
0.002 0.998 0.250
0.998 0.002 0.750
```

The 8 most intense peaks (2θ = 5–70°), in order of falling intensity:
Position (°2θ), I_rel
32.83, 100.0
33.07, 91.2
30.47, 81.3
32.65, 78.8
34.18, 68.5
29.17, 50.4
28.57, 46.0
33.25, 34.9

***

# 13
# Bi6PtAu2
Theoretical powder XRD pattern, copper Kα. Input: a DFT-relaxed cell (PBE, Alexandria).
No peak broadening, texture or thermal motion is included.

Crystal structure
```
Bi6PtAu2
1.0
7.228 0.000 0.000
-3.614 6.260 0.000
0.000 0.000 5.912
Bi Pt Au
6 1 2
direct
0.000 0.357 0.296
0.000 0.643 0.704
0.357 0.000 0.296
0.357 0.357 0.704
0.643 0.000 0.704
0.643 0.643 0.296
0.000 0.000 0.500
0.333 0.667 0.000
0.667 0.333 0.000
```

The 8 most intense peaks (2θ = 5–70°), in order of falling intensity:
Position (°2θ), I_rel
28.96, 100.0
39.38, 59.4
43.36, 45.5
52.96, 26.3
20.66, 25.6
60.00, 16.3
41.09, 14.9
32.36, 13.4